# Rb2ReTe2S
Simulated powder diffractogram, Cu Kα, 1.54184 Å. Input: a cell relaxed with PBE.

Most intense lines, 10 to 90 degrees two-theta, by angle:
two_theta, Rel. int., index
13.36, 30, 1 0 0
14.49, 48, 1 0 1
14.81, 35, 1 1 1
15.14, 34, 1 1 0
24.26, 100, 2 1 1
25.10, 64, 0 2 1
25.54, 49, 0 1 -2
40.47, 36, 0 3 -1

Cell and atoms:
Lattice parameters (Å, degrees): 7.388 7.869 9.385 74.51 70.39 68.48
Space group P-1 (No. 2)
Unique sites:
Rb 0.109 0.183 0.140 x2
Rb 0.334 0.576 0.317 x2
Re 0.394 0.043 0.646 x2
Te 0.172 0.362 0.725 x2
Te 0.371 0.813 0.901 x2
S 0.285 0.967 0.481 x2



# Y4Hf2Co3N3
Simulated powder diffractogram, Cu Kα, 1.54184 Å. Input: a cell relaxed with PBE.

Most intense lines, 10 to 90 degrees two-theta, by angle:
two_theta, Rel. int., index
17.92, 54, 0 1 1
31.06, 60, 2 1 0
31.87, 61, 2 1 -1
36.56, 56, 1 -1 2
36.79, 100, 1 2 -2
37.18, 98, 1 2 4
37.35, 56, -1 1 4
39.73, 59, 0 0 6

Cell and atoms:
Lattice parameters (Å, degrees): 5.756 5.758 13.952 78.65 89.28 60.08
Space group P-1 (No. 2)
Unique sites:
Y 0.035 0.091 0.106 x2
Y 0.124 0.905 0.394 x2
Y 0.201 0.423 0.622 x2
Y 0.302 0.238 0.880 x2
Hf 0.348 0.444 0.085 x2
Hf 0.471 0.234 0.416 x2
Co 0.259 0.615 0.251 x2
Co 0.276 0.192 0.249 x2
Co 0.312 0.793 0.750 x2
N 0.000 0.500 0.000 x1
N 0.194 0.159 0.503 x2
N 0.353 0.807 0.001 x2
N 0.500 0.500 0.500 x1



# Nb2Cd2O7
Simulated powder diffractogram, Cu Kα, 1.54184 Å. Input: a cell relaxed with PBE.

Most intense lines, 10 to 90 degrees two-theta, by angle:
two_theta, Rel. int., index
29.65, 100, 2 2 0
34.37, 31, 0 0 2
49.28, 7, 4 0 0
49.41, 30, 4 4 -2
49.50, 7, 4 0 -4
58.60, 14, 2 2 2
58.70, 20, 2 2 -4
58.78, 7, 6 2 -4

Cell and atoms:
Lattice parameters (Å, degrees): 10.430 10.432 7.365 90.00 134.84 90.00
Space group Cc (No. 9)
Unique sites:
Nb 0.000 0.000 0.000 x4
Nb 0.245 0.243 0.497 x4
Cd 0.003 0.499 0.506 x4
Cd 0.258 0.246 0.010 x4
O 0.012 0.322 0.267 x4
O 0.013 0.374 0.768 x4
O 0.018 0.070 0.772 x4
O 0.211 0.124 0.268 x4
O 0.211 0.124 0.665 x4
O 0.321 0.373 0.769 x4
O 0.323 0.373 0.387 x4



# Sm2YB2Pd2N3
Simulated powder diffractogram, Cu Kα, 1.54184 Å. Input: a cell relaxed with PBE.

Most intense lines, 10 to 90 degrees two-theta, by angle:
two_theta, Rel. int., index
27.51, 70, 1 0 3
32.73, 81, 1 0 5
35.19, 65, 0 0 8
35.53, 75, 1 1 2
38.78, 100, 1 1 4
49.42, 56, 2 0 0
62.11, 48, 2 0 8
85.37, 33, 3 1 4

Cell and atoms:
Lattice parameters (Å, degrees): 3.689 3.689 20.402 90.00 90.00 90.00
Space group I4/mmm (No. 139)
Unique sites:
Sm 0.000 0.000 0.119 x4
Y 0.000 0.000 0.500 x2
B 0.000 0.000 0.315 x4
Pd 0.000 0.500 0.250 x4
N 0.000 0.000 0.000 x2
N 0.000 0.000 0.385 x4



# Li2ZnCdAs2
Simulated powder diffractogram, Cu Kα, 1.54184 Å. Input: a cell relaxed with PBE.

Most intense lines, 10 to 90 degrees two-theta, by angle:
two_theta, Rel. int., index
25.25, 100, 1 1 1
41.59, 28, 1 1 5
41.70, 28, 3 1 -1
42.09, 14, 2 0 -6
42.21, 14, 0 2 0
48.86, 11, 2 0 6
49.75, 22, 1 1 -7
76.76, 13, 3 3 -1

Cell and atoms:
Lattice parameters (Å, degrees): 7.535 4.282 14.317 90.00 98.85 90.00
Space group Pm (No. 6)
Unique sites:
Li 0.000 0.000 0.000 x1
Li 0.007 0.500 0.485 x1
Li 0.231 0.000 0.728 x1
Li 0.243 0.500 0.230 x1
Li 0.461 0.000 0.471 x1
Li 0.497 0.500 0.989 x1
Li 0.734 0.000 0.226 x1
Li 0.766 0.500 0.735 x1
Zn 0.058 0.000 0.180 x1
Zn 0.062 0.500 0.665 x1
Zn 0.297 0.500 0.413 x1
Zn 0.551 0.500 0.173 x1
Cd 0.302 0.000 0.918 x1
Cd 0.555 0.000 0.664 x1
Cd 0.798 0.000 0.419 x1
Cd 0.812 0.500 0.923 x1
As 0.117 0.500 0.846 x1
As 0.122 0.000 0.356 x1
As 0.353 0.500 0.595 x1
As 0.366 0.000 0.113 x1
As 0.597 0.500 0.352 x1
As 0.619 0.000 0.857 x1
As 0.872 0.500 0.118 x1
As 0.886 0.000 0.610 x1



# DyTeAsO6
Simulated powder diffractogram, Cu Kα, 1.54184 Å. Input: a cell relaxed with PBE.

Most intense lines, 10 to 90 degrees two-theta, by angle:
two_theta, Rel. int., index
26.95, 100, 1 0 2
33.85, 39, 1 1 0
43.79, 26, 2 0 2
51.54, 39, 1 1 4
56.47, 25, 2 1 2
60.56, 14, 3 0 0
61.68, 9, 1 0 6
77.68, 10, 4 -1 2

Cell and atoms:
Lattice parameters (Å, degrees): 5.2964 5.2964 9.5501 90.00 90.00 120.00
Space group P-31c (No. 163)
Unique sites:
Dy 0.0000 0.0000 0.0000 x2
Te 0.3333 0.6667 0.2500 x2
As 0.3333 0.6667 0.7500 x2
O 0.0281 0.3681 0.1349 x12



# KAg2Te3PS
Simulated powder diffractogram, Cu Kα, 1.54184 Å. Input: a cell relaxed with PBE.

Most intense lines, 10 to 90 degrees two-theta, by angle:
two_theta, Rel. int., index
18.11, 54, 2 0 -1
25.78, 100, 2 0 -2
30.37, 36, 1 3 -1
31.14, 41, 2 2 0
36.80, 24, 0 4 0
40.56, 49, 4 0 -1
45.63, 32, 4 2 -3
55.19, 23, 1 5 1

Cell and atoms:
Lattice parameters (Å, degrees): 9.813 9.768 6.901 90.00 133.65 90.00
Space group Cm (No. 8)
Unique sites:
K 0.000 0.000 0.000 x2
Ag 0.129 0.222 0.616 x4
Te 0.038 0.500 0.358 x2
Te 0.245 0.286 0.107 x4
P 0.058 0.500 0.015 x2
S 0.287 0.000 0.640 x2



# La4Au2O9
Simulated powder diffractogram, Cu Kα, 1.54184 Å. Input: a cell relaxed with PBE.

Most intense lines, 10 to 90 degrees two-theta, by angle:
two_theta, Rel. int., index
14.64, 38, 0 0 2
27.29, 100, 3 1 1
29.54, 23, 0 0 4
30.26, 55, 1 2 1
32.08, 28, 2 2 0
33.12, 74, 2 0 4
35.43, 32, 2 2 2
47.54, 22, 2 0 6

Cell and atoms:
Lattice parameters (Å, degrees): 12.103 6.290 12.093 90.00 90.00 90.00
Space group Pbcn (No. 60)
Unique sites:
La 0.011 0.243 0.090 x8
La 0.159 0.200 0.764 x8
Au 0.229 0.422 0.511 x8
O 0.000 0.023 0.250 x4
O 0.078 0.389 0.588 x8
O 0.116 0.056 0.947 x8
O 0.163 0.443 0.354 x8
O 0.198 0.122 0.158 x8



# Zr6Al2Co
Simulated powder diffractogram, Cu Kα, 1.54184 Å. Input: a cell relaxed with PBE.

Most intense lines, 10 to 90 degrees two-theta, by angle:
two_theta, Rel. int., index
34.49, 73, 2 1 0
35.22, 100, 1 1 1
37.65, 64, 2 0 1
39.29, 32, 3 0 0
44.24, 21, 2 1 1
55.54, 20, 3 1 1
65.47, 31, 3 2 1
66.85, 20, 2 1 2

Cell and atoms:
Lattice parameters (Å, degrees): 7.9443 7.9443 3.3211 90.00 90.00 120.00
Space group P-62m (No. 189)
Unique sites:
Zr 0.0000 0.2507 0.0000 x3
Zr 0.0000 0.5981 0.5000 x3
Al 0.3333 0.6667 0.0000 x2
Co 0.0000 0.0000 0.5000 x1



Number 1 is which compound?
Rb2ReTe2S